1.
Y11In6Ge4: computed PXRD pattern (Cu Kα (weighted mean of Kα1 and Kα2)), based on the GGA-PBE geometry in the Materials Project.
Lines closer than 0.1° are merged.

Peak list (10 most intense, 10 to 80 degrees two-theta, in order of rising 2θ)
two_theta, I/Imax
32.3, 89
32.8, 100
34.6, 20
35.9, 26
36.3, 14
42.4, 22
47.0, 13
58.2, 16
65.1, 17
66.5, 12

Cell and atoms:
Cell: 11.598 11.598 11.598 Å, 120.08 120.08 89.87°
Positions (direct):
Y1 0.065 0.314 0.751
Y2 0.102 0.447 0.346
Y3 0.102 0.756 0.654
Y4 0.165 0.165 0.000
Y5 0.244 0.898 0.346
Y6 0.314 0.065 0.751
Y7 0.314 0.563 0.249
Y8 0.331 0.331 0.662
Y9 0.331 0.669 0.000
Y10 0.437 0.686 0.751
Y11 0.447 0.102 0.346
Y12 0.553 0.898 0.654
Y13 0.563 0.314 0.249
Y14 0.669 0.331 0.000
Y15 0.669 0.669 0.338
Y16 0.686 0.437 0.751
Y17 0.686 0.935 0.249
Y18 0.756 0.102 0.654
Y19 0.835 0.835 0.000
Y20 0.898 0.244 0.346
Y21 0.898 0.553 0.654
Y22 0.935 0.686 0.249
In1 0.035 0.035 0.413
In2 0.035 0.623 0.000
In3 0.129 0.129 0.258
In4 0.129 0.871 0.000
In5 0.377 0.377 0.413
In6 0.377 0.965 0.000
In7 0.623 0.035 0.000
In8 0.623 0.623 0.587
In9 0.871 0.129 0.000
In10 0.871 0.871 0.742
In11 0.965 0.377 0.000
In12 0.965 0.965 0.587
Ge1 0.153 0.500 0.653
Ge2 0.250 0.750 0.500
Ge3 0.386 0.386 0.000
Ge4 0.500 0.153 0.653
Ge5 0.500 0.847 0.347
Ge6 0.614 0.614 0.000
Ge7 0.750 0.250 0.500
Ge8 0.847 0.500 0.347

2.
Ho7Rh3: computed PXRD pattern (Cu Kα (weighted mean of Kα1 and Kα2)), based on the GGA-PBE geometry in the Materials Project.
Lines closer than 0.1° are merged.

Peak list (10 most intense, 10 to 80 degrees two-theta, in order of rising 2θ)
two_theta, I/Imax
30.9, 43
31.5, 100
31.7, 17
35.0, 54
36.0, 42
36.8, 34
55.3, 23
56.0, 22
56.3, 22
56.5, 18

Cell and atoms:
Cell: 9.778 9.778 6.163 Å, 90.00 90.00 120.00°
Positions (direct):
Ho1 0.081 0.540 0.000
Ho2 0.124 0.249 0.305
Ho3 0.124 0.876 0.305
Ho4 0.249 0.124 0.805
Ho5 0.333 0.667 0.505
Ho6 0.460 0.540 0.000
Ho7 0.460 0.919 0.000
Ho8 0.540 0.081 0.500
Ho9 0.540 0.460 0.500
Ho10 0.667 0.333 0.005
Ho11 0.751 0.876 0.305
Ho12 0.876 0.124 0.805
Ho13 0.876 0.751 0.805
Ho14 0.919 0.460 0.500
Rh1 0.190 0.381 0.733
Rh2 0.190 0.810 0.733
Rh3 0.381 0.190 0.233
Rh4 0.619 0.810 0.733
Rh5 0.810 0.190 0.233
Rh6 0.810 0.619 0.233

3.
MgZn3S4: computed PXRD pattern (Cu Kα (weighted mean of Kα1 and Kα2)), based on the GGA-PBE geometry in the Materials Project.
Lines closer than 0.1° are merged.

Peak list (10 most intense, 10 to 80 degrees two-theta, in order of rising 2θ)
two_theta, I/Imax
26.4, 100
28.0, 59
29.9, 89
38.9, 38
46.6, 74
50.8, 75
54.3, 12
55.2, 48
56.3, 16
71.4, 25

Cell and atoms:
Cell: 6.369 3.900 6.759 Å, 90.00 90.01 90.00°
Positions (direct):
Mg1 0.000 0.000 0.000
Zn1 0.498 0.000 0.664
Zn2 0.498 0.500 0.168
Zn3 0.999 0.500 0.499
S1 0.126 0.000 0.658
S2 0.129 0.500 0.175
S3 0.613 0.000 0.999
S4 0.625 0.500 0.500

4.
CdInCu3Se4: computed PXRD pattern (Cu Kα (weighted mean of Kα1 and Kα2)), based on the GGA-PBE geometry in the Materials Project.
Lines closer than 0.1° are merged.

Peak list (10 most intense, 10 to 80 degrees two-theta, in order of rising 2θ)
two_theta, I/Imax
14.7, 7
20.9, 30
25.7, 66
36.6, 14
42.5, 100
50.3, 30
57.3, 7
61.7, 16
68.0, 12
77.8, 32

Cell and atoms:
Cell: 6.012 6.012 6.012 Å, 90.00 90.00 90.00°
Positions (direct):
Cd1 0.000 0.000 0.000
In1 0.500 0.500 0.500
Cu1 0.000 0.500 0.500
Cu2 0.500 0.000 0.500
Cu3 0.500 0.500 0.000
Se1 0.252 0.252 0.748
Se2 0.252 0.748 0.252
Se3 0.748 0.252 0.252
Se4 0.748 0.748 0.748

5.
KSn2P3O12: computed PXRD pattern (Cu Kα (weighted mean of Kα1 and Kα2)), based on the GGA-PBE geometry in the Materials Project.
Lines closer than 0.1° are merged.

Peak list (10 most intense, 10 to 80 degrees two-theta, in order of rising 2θ)
two_theta, I/Imax
14.1, 22
19.1, 48
20.9, 89
23.8, 39
28.5, 34
30.8, 100
36.7, 32
48.6, 30
50.3, 23
62.4, 22

Cell and atoms:
Cell: 9.364 9.364 9.364 Å, 53.86 53.86 53.86°
Positions (direct):
K1 0.000 0.000 0.000
K2 0.500 0.500 0.500
Sn1 0.148 0.148 0.148
Sn2 0.346 0.346 0.346
Sn3 0.654 0.654 0.654
Sn4 0.852 0.852 0.852
P1 0.039 0.460 0.749
P2 0.251 0.961 0.540
P3 0.460 0.749 0.039
P4 0.540 0.251 0.961
P5 0.749 0.039 0.460
P6 0.961 0.540 0.251
O1 0.019 0.619 0.778
O2 0.108 0.878 0.735
O3 0.122 0.265 0.892
O4 0.151 0.527 0.215
O5 0.183 0.474 0.543
O6 0.215 0.151 0.527
O7 0.222 0.981 0.381
O8 0.265 0.892 0.122
O9 0.381 0.222 0.981
O10 0.457 0.817 0.526
O11 0.473 0.785 0.849
O12 0.474 0.543 0.183
O13 0.526 0.457 0.817
O14 0.527 0.215 0.151
O15 0.543 0.183 0.474
O16 0.619 0.778 0.019
O17 0.735 0.108 0.878
O18 0.778 0.019 0.619
O19 0.785 0.849 0.473
O20 0.817 0.526 0.457
O21 0.849 0.473 0.785
O22 0.878 0.735 0.108
O23 0.892 0.122 0.265
O24 0.981 0.381 0.222

6.
MnZnS2: computed PXRD pattern (Cu Kα (weighted mean of Kα1 and Kα2)), based on the GGA-PBE geometry in the Materials Project.
Lines closer than 0.1° are merged.

Peak list (10 most intense, 10 to 80 degrees two-theta, in order of rising 2θ)
two_theta, I/Imax
26.3, 100
27.9, 60
29.8, 98
38.7, 37
46.4, 76
50.6, 76
54.1, 12
55.0, 48
56.1, 15
71.0, 26

Cell and atoms:
Cell: 3.916 3.916 6.393 Å, 90.00 90.00 120.00°
Positions (direct):
Mn1 0.000 0.000 0.000
Zn1 0.667 0.333 0.501
S1 0.000 0.000 0.622
S2 0.667 0.333 0.132